Calculated X-ray powder pattern
Compound: MgZn2Co4S8
Radiation: Cu Ka
Structure: a GGA-PBE-relaxed structure

Cell and atoms:
a b c (Å): 7.2599 7.2599 7.2599
angles (deg): 119.94 119.93 90.12
Element x y z (fractional)
Mg (0.0000, 0.0000, 0.0000)
Zn (0.5014, 0.5014, 0.0000)
Zn (0.7501, 0.2501, 0.5000)
Co (0.1392, 0.4153, 0.2761)
Co (0.1392, 0.8631, 0.7239)
Co (0.1403, 0.8632, 0.2771)
Co (0.5861, 0.8632, 0.7229)
S (0.3560, 0.0656, 0.7096)
S (0.3560, 0.6463, 0.2904)
S (0.3555, 0.6465, 0.7091)
S (0.3696, 0.1242, 0.2454)
S (0.8789, 0.1242, 0.7546)
S (0.8785, 0.1261, 0.2476)
S (0.8785, 0.6309, 0.7524)
S (0.9374, 0.6465, 0.2909)

Top 6 peaks for 2θ from 10° to 90°, by angle:
- 2θ = 14.9°, d = 5.930 Å, intensity 257
- 2θ = 24.5°, d = 3.631 Å, intensity 676
- 2θ = 28.8°, d = 3.097 Å, intensity 935
- 2θ = 34.9°, d = 2.568 Å, intensity 384
- 2θ = 45.9°, d = 1.977 Å, intensity 589
- 2θ = 50.3°, d = 1.816 Å, intensity 1000